Tm2ScBi2O2: simulated XRD peak list (copper Kα), based on a PBE-relaxed structure.

Structural model:
Lattice parameters (Å, degrees): 4.1225 4.1225 16.6440 90.00 90.00 90.00
Space group I4/mmm (No. 139)
Unique sites:
Tm1 0.0000 0.0000 0.1047
Sc1 0.0000 0.0000 0.5000
Bi1 0.0000 0.0000 0.3131
O1 0.0000 0.5000 0.0000

Principal peaks in the range 2θ = 10–90°, sorted by position:
| hkl | Position (°2θ) | I/Imax |
| --- | --- | --- |
| 1 0 3 | 26.9 | 139 |
| 1 1 0 | 30.7 | 693 |
| 1 0 5 | 34.6 | 1000 |
| 2 0 0 | 43.9 | 314 |
| 2 1 5 | 57.1 | 483 |
| 3 1 0 | 72.5 | 125 |

ScUBiO6: simulated XRD peak list (copper Kα), based on a PBE-relaxed structure.

Structural model:
Lattice parameters (Å, degrees): 5.6207 5.6207 9.7437 90.00 90.00 120.00
Space group P-31c (No. 163)
Unique sites:
Sc1 0.3333 0.6667 0.2500
U1 0.3333 0.6667 0.7500
Bi1 0.0000 0.0000 0.0000
O1 0.0047 0.3585 0.6387

Principal peaks in the range 2θ = 10–90°, sorted by position:
| hkl | Position (°2θ) | I/Imax |
| --- | --- | --- |
| 1 0 1 | 20.4 | 362 |
| 1 0 2 | 25.9 | 1000 |
| 1 1 0 | 31.8 | 460 |
| 2 0 2 | 41.5 | 301 |
| 1 1 4 | 49.5 | 409 |
| 2 1 2 | 53.2 | 289 |